Starting from a GGA-PBE-relaxed structure, the PXRD pattern of YNb2NO5 was calculated for copper Kα.

Structural model:
```
data_YNb2NO5
_symmetry_space_group_name_H-M 'P 1 c 1'
_symmetry_Int_Tables_number 7
_symmetry_space_group_name_Hall 'P -2yc'
_cell_length_a 5.332
_cell_length_b 15.056
_cell_length_c 5.752
_cell_angle_alpha 90.00
_cell_angle_beta 90.38
_cell_angle_gamma 90.00
loop_
_atom_site_label
_atom_site_fract_x
_atom_site_fract_y
_atom_site_fract_z
_atom_site_occupancy
Y1 0.000 0.249 0.000 1
Y2 0.497 0.249 0.466 1
Nb1 0.063 0.412 0.540 1
Nb2 0.445 0.089 0.910 1
Nb3 0.561 0.417 0.925 1
Nb4 0.927 0.084 0.548 1
N1 0.160 0.336 0.318 1
N2 0.718 0.156 0.791 1
O1 0.097 0.009 0.862 1
O2 0.218 0.158 0.662 1
O3 0.276 0.343 0.798 1
O4 0.327 0.166 0.142 1
O5 0.388 0.491 0.599 1
O6 0.604 0.008 0.586 1
O7 0.663 0.334 0.143 1
O8 0.769 0.343 0.671 1
O9 0.828 0.165 0.317 1
O10 0.869 0.491 0.882 1
```

Most intense lines, 2θ = 10–90°, in order of rising 2θ:
h k l	two_theta	I (rel.)
0 3 1	23.53	23
1 3 -1	28.89	99
1 3 1	29.01	100
0 0 2	31.10	24
2 0 0	33.62	19
0 6 0	35.78	16
0 6 2	48.13	24
2 6 0	49.91	22
0 3 3	50.99	14
1 9 1	60.16	31

Starting from a GGA-PBE-relaxed structure, the PXRD pattern of Nb4OsN was calculated for copper Kα.

Structural model:
```
data_Nb4OsN
_symmetry_space_group_name_H-M 'I 41/a m d'
_symmetry_Int_Tables_number 141
_cell_length_a 8.074
_cell_length_b 8.074
_cell_length_c 7.113
_cell_angle_alpha 90.00
_cell_angle_beta 90.00
_cell_angle_gamma 90.00
loop_
_symmetry_equiv_pos_as_xyz
'x,y,z'
'-x,-y,-z'
'-y+1/4,x+3/4,z+1/4'
'y+1/4,-x+3/4,-z+1/4'
'-x+1/2,-y,z+1/2'
'x+1/2,y,-z+1/2'
'y+1/4,-x+1/4,z+3/4'
'-y+1/4,x+1/4,-z+3/4'
'x,-y,-z'
'-x,y,z'
'-y+1/4,-x+1/4,-z+3/4'
'y+1/4,x+1/4,z+3/4'
'-x+1/2,y,-z+1/2'
'x+1/2,-y,z+1/2'
'y+1/4,x+3/4,-z+1/4'
'-y+1/4,-x+3/4,z+1/4'
'x+1/2,y+1/2,z+1/2'
'-x+1/2,-y+1/2,-z+1/2'
'-y+3/4,x+1/4,z+3/4'
'y+3/4,-x+1/4,-z+3/4'
'-x,-y+1/2,z'
'x,y+1/2,-z'
'y+3/4,-x+3/4,z+1/4'
'-y+3/4,x+3/4,-z+1/4'
'x+1/2,-y+1/2,-z+1/2'
'-x+1/2,y+1/2,z+1/2'
'-y+3/4,-x+3/4,-z+1/4'
'y+3/4,x+3/4,z+1/4'
'-x,y+1/2,-z'
'x,-y+1/2,z'
'y+3/4,x+1/4,-z+3/4'
'-y+3/4,-x+1/4,z+3/4'
loop_
_atom_site_label
_atom_site_fract_x
_atom_site_fract_y
_atom_site_fract_z
_atom_site_occupancy
Nb1 0.000 0.059 0.195 1
Os1 0.000 0.250 0.875 1
N1 0.000 0.250 0.375 1
```

Most intense lines, 2θ = 10–90°, in order of rising 2θ:
h k l	two_theta	I (rel.)
1 0 1	16.61	77
2 0 0	22.02	89
2 0 2	33.58	64
3 0 1	35.67	100
1 0 3	39.62	64
3 2 1	42.31	57
3 1 2	43.64	65
4 0 0	44.90	36
3 3 2	54.70	41
4 3 1	58.62	33

Starting from a GGA-PBE-relaxed structure, the PXRD pattern of Nb6Os2N was calculated for copper Kα.

Structural model:
```
data_Nb6Os2N
_symmetry_space_group_name_H-M 'C 1 2/m 1'
_symmetry_Int_Tables_number 12
_symmetry_space_group_name_Hall '-C 2y'
_cell_length_a 12.484
_cell_length_b 6.183
_cell_length_c 4.445
_cell_angle_alpha 90.00
_cell_angle_beta 110.78
_cell_angle_gamma 90.00
loop_
_atom_site_label
_atom_site_fract_x
_atom_site_fract_y
_atom_site_fract_z
_atom_site_occupancy
Nb1 0.000 0.219 0.000 1
Nb2 0.147 0.245 0.647 1
Os1 0.170 0.500 0.171 1
N1 0.000 0.000 0.500 1
```

Most intense lines, 2θ = 10–90°, in order of rising 2θ:
h k l	two_theta	I (rel.)
1 1 -1	24.67	33
3 1 0	27.08	34
1 1 1	29.09	17
2 0 -2	40.59	31
2 2 1	42.53	100
6 0 0	46.69	16
1 1 2	49.48	13
4 0 2	63.56	13
2 4 -2	74.82	13
0 2 3	75.19	18

Starting from a GGA-PBE-relaxed structure, the PXRD pattern of UNbP2N was calculated for copper Kα.

Structural model:
```
data_UNbP2N
_symmetry_space_group_name_H-M 'P 4/n m m'
_symmetry_Int_Tables_number 129
_cell_length_a 3.626
_cell_length_b 3.626
_cell_length_c 12.285
_cell_angle_alpha 90.00
_cell_angle_beta 90.00
_cell_angle_gamma 90.00
loop_
_symmetry_equiv_pos_as_xyz
'x,y,z'
'-x,-y,-z'
'-y+1/2,x,z'
'y+1/2,-x,-z'
'-x+1/2,-y+1/2,z'
'x+1/2,y+1/2,-z'
'y,-x+1/2,z'
'-y,x+1/2,-z'
'x+1/2,-y,-z'
'-x+1/2,y,z'
'-y,-x,-z'
'y,x,z'
'-x,y+1/2,-z'
'x,-y+1/2,z'
'y+1/2,x+1/2,-z'
'-y+1/2,-x+1/2,z'
loop_
_atom_site_label
_atom_site_fract_x
_atom_site_fract_y
_atom_site_fract_z
_atom_site_occupancy
U1 0.250 0.250 0.104 1
Nb1 0.250 0.250 0.585 1
P1 0.250 0.250 0.375 1
P2 0.250 0.250 0.795 1
N1 0.250 0.750 0.000 1
```

Most intense lines, 2θ = 10–90°, in order of rising 2θ:
h k l	two_theta	I (rel.)
0 0 2	14.42	16
1 0 2	28.59	100
0 0 4	29.08	23
1 0 3	33.00	26
1 1 0	35.00	63
1 0 4	38.41	35
1 1 4	46.12	32
2 0 0	50.33	25
1 1 6	57.61	15
2 1 2	58.90	28

Starting from a GGA-PBE-relaxed structure, the PXRD pattern of PrPaNbN4 was calculated for copper Kα.

Structural model:
```
data_PrPaNbN4
_symmetry_space_group_name_H-M 'C m c m'
_symmetry_Int_Tables_number 63
_symmetry_space_group_name_Hall '-C 2c 2'
_cell_length_a 5.712
_cell_length_b 12.436
_cell_length_c 5.734
_cell_angle_alpha 90.00
_cell_angle_beta 90.00
_cell_angle_gamma 90.00
loop_
_atom_site_label
_atom_site_fract_x
_atom_site_fract_y
_atom_site_fract_z
_atom_site_occupancy
Pr1 0.000 0.107 0.250 1
Pa1 0.000 0.390 0.250 1
Nb1 0.000 0.238 0.750 1
N1 0.000 0.079 0.750 1
N2 0.000 0.442 0.750 1
N3 0.250 0.250 0.000 1
```

Most intense lines, 2θ = 10–90°, in order of rising 2θ:
h k l	two_theta	I (rel.)
1 1 1	23.11	20
1 3 1	30.88	100
0 0 2	31.20	34
2 0 0	31.32	33
1 5 1	42.67	11
2 4 0	42.96	20
2 0 2	44.79	31
2 6 0	54.68	11
1 3 3	55.32	20
3 3 1	55.47	20

Starting from a GGA-PBE-relaxed structure, the PXRD pattern of Rb2PaNbN4 was calculated for copper Kα.

Structural model:
```
data_Rb2PaNbN4
_symmetry_space_group_name_H-M 'P 1 2/m 1'
_symmetry_Int_Tables_number 10
_symmetry_space_group_name_Hall '-P 2y'
_cell_length_a 5.896
_cell_length_b 3.428
_cell_length_c 6.991
_cell_angle_alpha 90.00
_cell_angle_beta 105.98
_cell_angle_gamma 90.00
loop_
_atom_site_label
_atom_site_fract_x
_atom_site_fract_y
_atom_site_fract_z
_atom_site_occupancy
Rb1 0.000 0.000 0.000 1
Rb2 0.500 0.500 0.000 1
Pa1 0.000 0.500 0.500 1
Nb1 0.500 0.000 0.500 1
N1 0.238 0.000 0.659 1
N2 0.290 0.500 0.342 1
```

Most intense lines, 2θ = 10–90°, in order of rising 2θ:
h k l	two_theta	I (rel.)
0 0 1	13.17	43
1 0 0	15.63	13
0 0 2	26.53	59
1 1 -1	31.52	100
1 1 1	35.08	73
2 0 -2	35.36	35
2 0 2	47.31	14
1 1 -3	47.43	27
3 1 -1	53.76	22
1 1 3	55.01	18

Starting from a GGA-PBE-relaxed structure, the PXRD pattern of Pa2NbRhN5 was calculated for copper Kα.

Structural model:
```
data_Pa2NbRhN5
_symmetry_space_group_name_H-M 'C m c 21'
_symmetry_Int_Tables_number 36
_symmetry_space_group_name_Hall 'C 2c -2'
_cell_length_a 3.342
_cell_length_b 12.899
_cell_length_c 10.327
_cell_angle_alpha 90.00
_cell_angle_beta 90.00
_cell_angle_gamma 90.00
loop_
_atom_site_label
_atom_site_fract_x
_atom_site_fract_y
_atom_site_fract_z
_atom_site_occupancy
Pa1 0.000 0.102 0.000 1
Pa2 0.000 0.145 0.624 1
Nb1 0.000 0.200 0.332 1
Rh1 0.000 0.471 0.769 1
N1 0.000 0.056 0.404 1
N2 0.000 0.277 0.979 1
N3 0.000 0.318 0.687 1
N4 0.000 0.366 0.313 1
N5 0.000 0.485 0.082 1
```

Most intense lines, 2θ = 10–90°, in order of rising 2θ:
h k l	two_theta	I (rel.)
0 4 0	27.61	45
0 4 1	28.99	30
0 2 3	29.41	91
0 4 2	32.69	100
1 3 0	33.97	56
1 3 1	35.10	27
1 1 3	38.18	70
1 5 3	52.07	19
2 0 0	54.95	20
2 2 3	63.55	22

Starting from a GGA-PBE-relaxed structure, the PXRD pattern of TbPaNbN3 was calculated for copper Kα.

Structural model:
```
data_TbPaNbN3
_symmetry_space_group_name_H-M 'P 1 21/m 1'
_symmetry_Int_Tables_number 11
_symmetry_space_group_name_Hall '-P 2yb'
_cell_length_a 7.047
_cell_length_b 3.279
_cell_length_c 8.166
_cell_angle_alpha 90.00
_cell_angle_beta 93.11
_cell_angle_gamma 90.00
loop_
_atom_site_label
_atom_site_fract_x
_atom_site_fract_y
_atom_site_fract_z
_atom_site_occupancy
Tb1 0.115 0.250 0.335 1
Pa1 0.392 0.750 0.668 1
Nb1 0.155 0.250 0.945 1
N1 0.140 0.750 0.113 1
N2 0.156 0.250 0.652 1
N3 0.386 0.750 0.396 1
```

Most intense lines, 2θ = 10–90°, in order of rising 2θ:
h k l	two_theta	I (rel.)
0 0 1	10.85	48
1 0 1	17.09	32
2 0 1	28.16	58
0 1 1	29.36	60
2 0 -2	32.71	51
0 0 3	32.95	61
0 1 2	35.12	76
2 1 0	37.49	100
2 1 -3	49.76	33
2 1 3	51.75	39

Starting from a GGA-PBE-relaxed structure, the PXRD pattern of Pa2TiNbN6 was calculated for copper Kα.

Structural model:
```
data_Pa2TiNbN6
_symmetry_space_group_name_H-M 'P 4 m m'
_symmetry_Int_Tables_number 99
_symmetry_space_group_name_Hall 'P 4 -2'
_cell_length_a 5.331
_cell_length_b 5.331
_cell_length_c 4.934
_cell_angle_alpha 90.00
_cell_angle_beta 90.00
_cell_angle_gamma 90.00
loop_
_atom_site_label
_atom_site_fract_x
_atom_site_fract_y
_atom_site_fract_z
_atom_site_occupancy
Pa1 0.000 0.500 0.000 1
Ti1 0.000 0.000 0.592 1
Nb1 0.500 0.500 0.589 1
N1 0.000 0.000 0.217 1
N2 0.248 0.248 0.753 1
N3 0.500 0.500 0.203 1
```

Most intense lines, 2θ = 10–90°, in order of rising 2θ:
h k l	two_theta	I (rel.)
0 0 1	17.98	32
1 1 0	23.60	20
1 1 1	29.83	100
2 0 0	33.62	37
2 0 1	38.38	18
1 1 2	43.86	21
2 2 0	48.29	18
2 0 2	50.40	23
3 1 1	57.80	32
3 1 2	67.27	12

Starting from a GGA-PBE-relaxed structure, the PXRD pattern of TmPa2NbN6 was calculated for copper Kα.

Structural model:
```
data_TmPa2NbN6
_symmetry_space_group_name_H-M 'R 3'
_symmetry_Int_Tables_number 146
_symmetry_space_group_name_Hall 'R 3'
_cell_length_a 5.7794
_cell_length_b 5.7794
_cell_length_c 14.7781
_cell_angle_alpha 90.00
_cell_angle_beta 90.00
_cell_angle_gamma 120.00
loop_
_atom_site_label
_atom_site_fract_x
_atom_site_fract_y
_atom_site_fract_z
_atom_site_occupancy
Tm1 0.0000 0.0000 0.0000 1
Pa1 0.0000 0.0000 0.2790 1
Pa2 0.0000 0.0000 0.7769 1
Nb1 0.0000 0.0000 0.4953 1
N1 0.0052 0.7222 0.3851 1
N2 0.0495 0.3449 0.5487 1
```

Most intense lines, 2θ = 10–90°, in order of rising 2θ:
h k l	two_theta	I (rel.)
0 1 2	21.44	28
1 0 4	30.06	100
1 1 0	30.95	99
0 2 4	43.69	40
2 -1 6	48.57	25
0 1 8	52.83	15
3 -1 4	54.49	41
3 0 0	55.04	25
2 2 0	64.49	13
1 3 4	72.78	16